No. 1
Starting from a GGA-PBE-relaxed structure, the powder diffraction line list of Pm4Th was simulated for Cu Ka.

Top 10 peaks for 2θ from 5° to 70°, in order of rising 2θ:
2θ = 5.96°, rel. 9.2; 2θ = 11.94°, rel. 2.8; 2θ = 30.11°, rel. 100.0; 2θ = 32.67°, rel. 1.0; 2θ = 34.90°, rel. 50.7; 2θ = 36.15°, rel. 0.9; 2θ = 50.19°, rel. 36.3; 2θ = 59.65°, rel. 43.1; 2θ = 62.56°, rel. 9.5; 2θ = 62.68°, rel. 2.9

Structural model:
```
Pm4Th
1.0
1.819 1.050 14.822
-1.819 1.050 14.822
0.000 -2.100 14.822
Pm Th
4 1
Direct
0.102 0.102 0.102
0.300 0.300 0.300
0.700 0.700 0.700
0.898 0.898 0.898
0.500 0.500 0.500
```

=====

No. 2
Starting from a GGA-PBE-relaxed structure, the powder diffraction line list of Li4Pa3AlN8 was simulated for Cu Ka.

Top 10 peaks for 2θ from 5° to 70°, in order of rising 2θ:
2θ = 16.15°, rel. 26.3; 2θ = 17.33°, rel. 100.0; 2θ = 29.19°, rel. 26.4; 2θ = 31.85°, rel. 42.1; 2θ = 32.63°, rel. 49.5; 2θ = 35.67°, rel. 23.2; 2θ = 39.99°, rel. 36.0; 2θ = 41.97°, rel. 18.8; 2θ = 53.71°, rel. 15.8; 2θ = 56.32°, rel. 18.0

Structural model:
```
Li4Pa3AlN8
1.0
5.721 -3.269 0.000
5.721 3.269 0.000
-2.968 0.000 5.498
Li Pa Al N
4 3 1 8
Direct
0.000 0.000 0.000
0.000 0.500 0.500
0.500 0.000 0.500
0.500 0.500 0.000
0.000 0.000 0.500
0.000 0.500 0.000
0.500 0.000 0.000
0.500 0.500 0.500
0.232 0.232 0.742
0.236 0.236 0.224
0.250 0.712 0.265
0.288 0.750 0.735
0.712 0.250 0.265
0.750 0.288 0.735
0.764 0.764 0.776
0.768 0.768 0.258
```

=====

No. 3
Starting from a GGA-PBE-relaxed structure, the powder diffraction line list of UH12Cl3O6 was simulated for Cu Ka.

Top 10 peaks for 2θ from 5° to 70°, in order of rising 2θ:
2θ = 13.16°, rel. 38.8; 2θ = 13.88°, rel. 100.0; 2θ = 14.66°, rel. 97.4; 2θ = 15.98°, rel. 81.8; 2θ = 17.20°, rel. 79.3; 2θ = 18.11°, rel. 56.1; 2θ = 22.17°, rel. 56.9; 2θ = 24.62°, rel. 72.5; 2θ = 25.53°, rel. 61.7; 2θ = 28.04°, rel. 41.4

Structural model:
```
UH12Cl3O6
1.0
8.032 0.000 0.000
0.000 6.728 0.000
-7.487 0.000 9.799
U H Cl O
2 24 6 12
Direct
0.000 0.154 0.250
0.000 0.846 0.750
0.025 0.441 0.881
0.025 0.559 0.381
0.205 0.485 0.185
0.205 0.515 0.685
0.241 0.100 0.124
0.241 0.900 0.624
0.326 0.077 0.729
0.326 0.923 0.229
0.377 0.321 0.539
0.377 0.679 0.039
0.478 0.250 0.469
0.478 0.750 0.969
0.522 0.250 0.031
0.522 0.750 0.531
0.623 0.321 0.961
0.623 0.679 0.461
0.674 0.077 0.771
0.674 0.923 0.271
0.759 0.100 0.376
0.759 0.900 0.876
0.795 0.485 0.315
0.795 0.515 0.815
0.975 0.441 0.619
0.975 0.559 0.119
0.204 0.177 0.942
0.204 0.823 0.442
0.500 0.354 0.750
0.500 0.646 0.250
0.796 0.177 0.558
0.796 0.823 0.058
0.065 0.438 0.150
0.065 0.562 0.650
0.255 0.053 0.206
0.255 0.947 0.706
0.342 0.288 0.449
0.342 0.712 0.949
0.658 0.288 0.051
0.658 0.712 0.551
0.745 0.053 0.294
0.745 0.947 0.794
0.935 0.438 0.350
0.935 0.562 0.850
```